Entry 1:
Structure and theoretical powder diffractogram of Ca2IrRhO6 (a cell relaxed with GGA-PBE; Cu Ka).

Structural model:
```
Ca2IrRhO6
1.0
4.9238 -1.5947 0.0000
4.9238 1.5947 0.0000
-0.0380 0.0000 7.3761
Ca Ir Rh O
2 1 1 6
Direct
0.2490 0.2490 0.2583
0.7510 0.7510 0.7417
0.5000 0.5000 0.0000
0.5000 0.5000 0.5000
0.1243 0.1243 0.9510
0.1297 0.1297 0.5499
0.4250 0.4250 0.7530
0.5750 0.5750 0.2470
0.8703 0.8703 0.4501
0.8757 0.8757 0.0490
```

Main lines, by intensity (2θ = 15–90°):
2theta, Rel. int.
18.0, 100
29.4, 91
30.2, 72
30.4, 70
39.4, 66
38.4, 62
24.1, 52
46.8, 36
46.7, 34
36.5, 34

---

Entry 2:
Structure and theoretical powder diffractogram of MgAl2As2H18O18 (a cell relaxed with GGA-PBE; Cu Ka).

Structural model:
```
MgAl2As2H18O18
1.0
5.4572 0.0000 0.0000
-2.3917 6.6177 0.0000
-2.1393 -2.3029 10.0667
Mg Al As H O
1 2 2 18 18
Direct
0.0000 0.0000 0.0000
0.5000 0.0000 0.5000
0.5000 0.5000 0.5000
0.0172 0.9261 0.6664
0.9828 0.0739 0.3336
0.0587 0.5895 0.2618
0.0898 0.6479 0.8145
0.1818 0.6714 0.5084
0.1892 0.3995 0.9528
0.3046 0.4076 0.1047
0.3049 0.9449 0.2048
0.3347 0.5057 0.7204
0.4048 0.3111 0.6704
0.4780 0.9951 0.8776
0.5220 0.0049 0.1224
0.5952 0.6889 0.3296
0.6653 0.4943 0.2796
0.6951 0.0551 0.7952
0.6954 0.5924 0.8953
0.8108 0.6005 0.0472
0.8182 0.3286 0.4916
0.9102 0.3521 0.1855
0.9413 0.4105 0.7382
0.1057 0.5092 0.8037
0.1113 0.9068 0.8282
0.1284 0.3171 0.4361
0.1936 0.9380 0.3474
0.2351 0.3172 0.0157
0.3058 0.0640 0.6241
0.3257 0.9590 0.1144
0.3715 0.7162 0.5052
0.4726 0.4683 0.6831
0.5274 0.5317 0.3169
0.6285 0.2838 0.4948
0.6743 0.0410 0.8856
0.6942 0.9360 0.3759
0.7649 0.6828 0.9843
0.8064 0.0620 0.6526
0.8716 0.6829 0.5639
0.8887 0.0932 0.1718
0.8943 0.4908 0.1963
```

Main lines, by intensity (2θ = 15–90°):
2theta, Rel. int.
18.0, 100
27.7, 57
26.5, 41
27.9, 36
33.7, 36
30.8, 27
27.1, 24
28.5, 24
30.5, 21
19.3, 20

---

Entry 3:
Structure and theoretical powder diffractogram of AlCuO3 (a cell relaxed with GGA-PBE; Cu Ka).

Structural model:
```
AlCuO3
1.0
4.7091 0.0000 0.0000
0.0000 6.7817 0.0000
-0.4910 0.0000 6.2134
Al Cu O
4 4 12
Direct
0.0185 0.1978 0.2519
0.0185 0.3022 0.7519
0.9815 0.6978 0.2481
0.9815 0.8022 0.7481
0.5000 0.0000 0.0000
0.5000 0.0000 0.5000
0.5000 0.5000 0.0000
0.5000 0.5000 0.5000
0.1608 0.5564 0.8303
0.1608 0.9436 0.3303
0.1953 0.1885 0.9972
0.1953 0.3115 0.4972
0.3512 0.6056 0.2415
0.3512 0.8944 0.7415
0.6488 0.1056 0.2585
0.6488 0.3944 0.7585
0.8047 0.6885 0.5028
0.8047 0.8115 0.0028
0.8392 0.0564 0.6697
0.8392 0.4436 0.1697
```

Main lines, by intensity (2θ = 15–90°):
2theta, Rel. int.
32.6, 100
33.3, 54
39.3, 34
18.9, 31
35.9, 30
26.3, 30
57.9, 26
38.3, 24
54.3, 23
42.9, 21

---

Entry 4:
Structure and theoretical powder diffractogram of Ca5Si2HO9F (a cell relaxed with GGA-PBE; Cu Ka).

Structural model:
```
Ca5Si2HO9F
1.0
7.1450 0.0000 0.0000
0.0000 8.8711 0.0000
-2.4577 0.0000 7.0515
Ca Si H O F
10 4 2 18 2
Direct
0.0514 0.0000 0.3365
0.0764 0.6074 0.2893
0.1868 0.8111 0.8848
0.3873 0.3112 0.6579
0.3991 0.1425 0.2483
0.6009 0.6425 0.7517
0.6127 0.8112 0.3421
0.8132 0.3111 0.1152
0.9236 0.1074 0.7107
0.9486 0.5000 0.6635
0.3657 0.4796 0.9655
0.4598 0.0075 0.6692
0.5402 0.5075 0.3308
0.6343 0.9796 0.0345
0.2312 0.3440 0.8820
0.7688 0.8440 0.1180
0.0066 0.4866 0.9981
0.0515 0.2995 0.5285
0.0613 0.1472 0.0294
0.1338 0.2965 0.3679
0.2271 0.0326 0.6632
0.2603 0.5870 0.7641
0.3994 0.6221 0.1313
0.4287 0.9465 0.0873
0.4583 0.3638 0.1820
0.5417 0.8638 0.8180
0.5713 0.4465 0.9127
0.6006 0.1221 0.8687
0.7397 0.0870 0.2359
0.7729 0.5326 0.3368
0.8662 0.7965 0.6321
0.9387 0.6472 0.9706
0.9485 0.7995 0.4715
0.9934 0.9866 0.0019
0.2928 0.8061 0.3837
0.7072 0.3061 0.6163
```

Main lines, by intensity (2θ = 15–90°):
2theta, Rel. int.
33.9, 100
27.2, 48
43.1, 44
31.7, 41
30.0, 36
38.3, 34
44.8, 33
39.8, 28
32.4, 25
39.2, 24